Entry 1:
Starting from DFT lattice parameters and positions (PBE), the powder diffractogram of LaGd2Tm3Te2Os was computed for λ = 1.5418 Å (Cu Kα).
Kinematic intensities with the Lorentz-polarization factor, no thermal factor.

Top 10 peaks for 10 to 90 degrees two-theta, in order of rising 2θ:
two_theta, d [Å], I (rel.)
12.26, 7.219, 33.9
30.52, 2.929, 100.0
32.81, 2.730, 39.6
32.88, 2.724, 26.6
33.01, 2.714, 93.1
37.35, 2.408, 27.2
39.64, 2.274, 64.8
43.99, 2.058, 28.6
55.97, 1.643, 29.2
60.30, 1.535, 23.8

Cell and atoms:
```
data_LaGd2Tm3Te2Os
_chemical_formula_sum 'La2 Gd4 Tm6 Te4 Os2'
_space_group_name_H-M_alt 'A m m 2'
_space_group_IT_number 38
_cell_length_a 4.1169
_cell_length_b 14.4097
_cell_length_c 8.3487
_cell_angle_alpha 90.00
_cell_angle_beta 90.00
_cell_angle_gamma 90.00
loop_
_space_group_symop_operation_xyz
'x,y,z'
'-x,-y,z'
'-x,y,z'
'x,-y,z'
'x,y+1/2,z+1/2'
'-x,-y+1/2,z+1/2'
'-x,y+1/2,z+1/2'
'x,-y+1/2,z+1/2'
loop_
_atom_site_label
_atom_site_type_symbol
_atom_site_fract_x
_atom_site_fract_y
_atom_site_fract_z
La1 La 0.0000 0.0000 0.0000
Gd1 Gd 0.0000 0.1946 0.5988
Tm1 Tm 0.5000 0.0000 0.6432
Tm2 Tm 0.5000 0.1142 0.2883
Te1 Te 0.5000 0.1716 0.9019
Os1 Os 0.0000 0.0000 0.4220
```


Entry 2:
Starting from DFT lattice parameters and positions (PBE), the powder diffractogram of La2GdPdPt2Pb3 was computed for λ = 1.5418 Å (Cu Kα).
Kinematic intensities with the Lorentz-polarization factor, no thermal factor.

Top 10 peaks for 10 to 90 degrees two-theta, in order of rising 2θ:
two_theta, d [Å], I (rel.)
31.30, 2.858, 100.0
34.01, 2.636, 88.5
34.75, 2.582, 42.7
34.84, 2.575, 20.4
39.58, 2.277, 26.9
41.18, 2.192, 29.1
43.61, 2.076, 29.3
56.95, 1.617, 31.4
60.37, 1.533, 23.2
63.57, 1.464, 23.4

Cell and atoms:
```
data_La2GdPdPt2Pb3
_chemical_formula_sum 'La4 Gd2 Pd2 Pt4 Pb6'
_space_group_name_H-M_alt 'A m m 2'
_space_group_IT_number 38
_cell_length_a 4.1511
_cell_length_b 13.6220
_cell_length_c 7.8960
_cell_angle_alpha 90.00
_cell_angle_beta 90.00
_cell_angle_gamma 90.00
loop_
_space_group_symop_operation_xyz
'x,y,z'
'-x,-y,z'
'-x,y,z'
'x,-y,z'
'x,y+1/2,z+1/2'
'-x,-y+1/2,z+1/2'
'-x,y+1/2,z+1/2'
'x,-y+1/2,z+1/2'
loop_
_atom_site_label
_atom_site_type_symbol
_atom_site_fract_x
_atom_site_fract_y
_atom_site_fract_z
La1 La 0.0000 0.2062 0.0000
Gd1 Gd 0.0000 0.0000 0.6169
Pd1 Pd 0.0000 0.0000 0.2109
Pt1 Pt 0.5000 0.1641 0.7057
Pb1 Pb 0.5000 0.0000 0.9496
Pb2 Pb 0.5000 0.1256 0.3361
```


Entry 3:
Starting from DFT lattice parameters and positions (PBE), the powder diffractogram of La2GdSn6Pb was computed for λ = 1.5418 Å (Cu Kα).
Kinematic intensities with the Lorentz-polarization factor, no thermal factor.

Top 10 peaks for 10 to 90 degrees two-theta, in order of rising 2θ:
two_theta, d [Å], I (rel.)
32.13, 2.786, 100.0
34.12, 2.628, 16.5
38.22, 2.355, 17.1
39.30, 2.293, 16.0
52.16, 1.754, 10.1
53.01, 1.728, 9.6
55.98, 1.643, 11.5
65.29, 1.429, 13.5
66.76, 1.401, 12.7
67.21, 1.393, 9.9

Cell and atoms:
```
data_La2GdSn6Pb
_chemical_formula_sum 'La4 Gd2 Sn12 Pb2'
_space_group_name_H-M_alt 'C m m m'
_space_group_IT_number 65
_space_group_name_Hall '-C 2 2'
_cell_length_a 4.5854
_cell_length_b 26.2774
_cell_length_c 4.7092
_cell_angle_alpha 90.00
_cell_angle_beta 90.00
_cell_angle_gamma 90.00
loop_
_atom_site_label
_atom_site_type_symbol
_atom_site_fract_x
_atom_site_fract_y
_atom_site_fract_z
La1 La 0.0000 0.1846 0.0000
Gd1 Gd 0.0000 0.0000 0.0000
Sn1 Sn 0.0000 0.0946 0.5000
Sn2 Sn 0.0000 0.2886 0.5000
Sn3 Sn 0.0000 0.4066 0.0000
Pb1 Pb 0.0000 0.5000 0.5000
```


Entry 4:
Starting from DFT lattice parameters and positions (PBE), the powder diffractogram of La2GdSn2Pb5 was computed for λ = 1.5418 Å (Cu Kα).
Kinematic intensities with the Lorentz-polarization factor, no thermal factor.

Top 10 peaks for 10 to 90 degrees two-theta, in order of rising 2θ:
two_theta, d [Å], I (rel.)
31.69, 2.823, 100.0
34.16, 2.625, 16.8
37.42, 2.403, 17.2
38.57, 2.334, 15.9
51.56, 1.772, 10.7
52.45, 1.744, 11.3
54.83, 1.674, 11.6
63.94, 1.456, 13.8
65.51, 1.425, 12.9
66.20, 1.412, 10.2

Cell and atoms:
```
data_La2GdSn2Pb5
_chemical_formula_sum 'La4 Gd2 Sn4 Pb10'
_space_group_name_H-M_alt 'C m m m'
_space_group_IT_number 65
_space_group_name_Hall '-C 2 2'
_cell_length_a 4.6685
_cell_length_b 26.2455
_cell_length_c 4.8067
_cell_angle_alpha 90.00
_cell_angle_beta 90.00
_cell_angle_gamma 90.00
loop_
_atom_site_label
_atom_site_type_symbol
_atom_site_fract_x
_atom_site_fract_y
_atom_site_fract_z
La1 La 0.0000 0.1847 0.0000
Gd1 Gd 0.0000 0.0000 0.0000
Sn1 Sn 0.0000 0.4075 0.0000
Pb1 Pb 0.0000 0.0946 0.5000
Pb2 Pb 0.0000 0.2922 0.5000
Pb3 Pb 0.0000 0.5000 0.5000
```


Entry 5:
Starting from DFT lattice parameters and positions (PBE), the powder diffractogram of La2GdSn5Pb2 was computed for λ = 1.5418 Å (Cu Kα).
Kinematic intensities with the Lorentz-polarization factor, no thermal factor.

Top 10 peaks for 10 to 90 degrees two-theta, in order of rising 2θ:
two_theta, d [Å], I (rel.)
32.01, 2.796, 100.0
34.21, 2.621, 16.5
38.25, 2.353, 16.8
38.79, 2.321, 16.4
52.24, 1.751, 10.1
52.66, 1.738, 11.4
55.61, 1.653, 11.6
65.25, 1.430, 13.7
66.00, 1.416, 13.0
66.94, 1.398, 13.6

Cell and atoms:
```
data_La2GdSn5Pb2
_chemical_formula_sum 'La4 Gd2 Sn10 Pb4'
_space_group_name_H-M_alt 'C m m m'
_space_group_IT_number 65
_space_group_name_Hall '-C 2 2'
_cell_length_a 4.6428
_cell_length_b 26.2132
_cell_length_c 4.7061
_cell_angle_alpha 90.00
_cell_angle_beta 90.00
_cell_angle_gamma 90.00
loop_
_atom_site_label
_atom_site_type_symbol
_atom_site_fract_x
_atom_site_fract_y
_atom_site_fract_z
La1 La 0.0000 0.1857 0.0000
Gd1 Gd 0.0000 0.0000 0.0000
Sn1 Sn 0.0000 0.0932 0.5000
Sn2 Sn 0.0000 0.2891 0.5000
Sn3 Sn 0.0000 0.5000 0.5000
Pb1 Pb 0.0000 0.4064 0.0000
```


Entry 6:
Starting from DFT lattice parameters and positions (PBE), the powder diffractogram of LaGd2Sn6Pb was computed for λ = 1.5418 Å (Cu Kα).
Kinematic intensities with the Lorentz-polarization factor, no thermal factor.

Top 10 peaks for 10 to 90 degrees two-theta, in order of rising 2θ:
two_theta, d [Å], I (rel.)
32.45, 2.759, 100.0
35.12, 2.555, 17.6
38.59, 2.333, 16.5
39.11, 2.303, 15.9
53.16, 1.723, 11.0
53.56, 1.711, 10.7
56.11, 1.639, 11.3
61.33, 1.512, 12.3
65.97, 1.416, 13.5
66.68, 1.403, 13.0

Cell and atoms:
```
data_LaGd2Sn6Pb
_chemical_formula_sum 'La2 Gd4 Sn12 Pb2'
_space_group_name_H-M_alt 'C m m m'
_space_group_IT_number 65
_space_group_name_Hall '-C 2 2'
_cell_length_a 4.6067
_cell_length_b 25.5537
_cell_length_c 4.6666
_cell_angle_alpha 90.00
_cell_angle_beta 90.00
_cell_angle_gamma 90.00
loop_
_atom_site_label
_atom_site_type_symbol
_atom_site_fract_x
_atom_site_fract_y
_atom_site_fract_z
La1 La 0.0000 0.0000 0.0000
Gd1 Gd 0.0000 0.1877 0.0000
Sn1 Sn 0.0000 0.0996 0.5000
Sn2 Sn 0.0000 0.2910 0.5000
Sn3 Sn 0.0000 0.4012 0.0000
Pb1 Pb 0.0000 0.5000 0.5000
```